# BaCuWO5
Simulated powder X-ray diffraction pattern, λ = 1.5418 Å (Cu Kα). Input: a cell relaxed with GGA+U.

Largest 6 diffraction maxima, by angle, 15° ≤ 2θ ≤ 90°:
2θ = 16.63°, intensity 39; 2θ = 25.89°, intensity 100; 2θ = 28.08°, intensity 75; 2θ = 30.82°, intensity 97; 2θ = 31.07°, intensity 62; 2θ = 56.38°, intensity 32

Cell and atoms:
a b c (Å): 5.9415 5.9415 7.5590
angles (deg): 101.00 101.00 110.80
Sites, in units of the cell vectors:
Ba: 0.1688 0.8312 0.7500
Ba: 0.8312 0.1688 0.2500
Cu: 0.1817 0.8183 0.2500
Cu: 0.8183 0.1817 0.7500
W: 0.5000 0.5000 0.0000
W: 0.5000 0.5000 0.5000
O: 0.1536 0.2560 0.9244
O: 0.2384 0.6131 0.4132
O: 0.2560 0.1536 0.4244
O: 0.3869 0.7616 0.0868
O: 0.4458 0.5542 0.7500
O: 0.5542 0.4458 0.2500
O: 0.6131 0.2384 0.9132
O: 0.7440 0.8464 0.5756
O: 0.7616 0.3869 0.5868
O: 0.8464 0.7440 0.0756